# 1
Pm5TmMg3: theoretical powder diffraction line list (Cu Kα (weighted mean of Kα1 and Kα2)), based on a structure optimized by DFT (PBE).
Neutral-atom scattering factors, no anomalous dispersion.

Peak list (12 most intense, 5° ≤ 2θ ≤ 70°, by angle)
2θ (°)	Rel. int.
18.6	14
22.6	45
31.7	100
32.5	86
39.9	10
43.2	8
46.1	36
52.4	9
57.5	37
58.0	16
62.9	26
68.1	10

Structural model:
```
Pm5TmMg3
1.0
9.537 0.000 0.000
-4.768 8.259 0.000
0.000 0.000 7.000
Pm Tm Mg
10 2 6
Direct
0.000 0.330 0.250
0.000 0.670 0.750
0.330 0.000 0.250
0.330 0.330 0.750
0.333 0.667 0.000
0.333 0.667 0.500
0.667 0.333 0.000
0.667 0.333 0.500
0.670 0.000 0.750
0.670 0.670 0.250
0.000 0.000 0.000
0.000 0.000 0.500
0.000 0.331 0.750
0.000 0.669 0.250
0.331 0.000 0.750
0.331 0.331 0.250
0.669 0.000 0.250
0.669 0.669 0.750
```

# 2
Sn2SbSe6: theoretical powder diffraction line list (Cu Kα (weighted mean of Kα1 and Kα2)), based on a structure optimized by DFT (PBE).
Neutral-atom scattering factors, no anomalous dispersion.

Peak list (12 most intense, 5° ≤ 2θ ≤ 70°, by angle)
2θ (°)	Rel. int.
13.1	95
26.7	12
27.0	30
31.5	52
32.1	100
41.3	13
44.5	39
45.1	19
46.7	35
47.0	17
49.0	12
57.7	18

Structural model:
```
Sn2SbSe6
1.0
8.899 -1.932 0.000
8.899 1.932 0.000
-2.334 0.000 7.717
Sn Sb Se
2 1 6
Direct
0.167 0.167 0.335
0.833 0.833 0.665
0.500 0.500 0.000
0.005 0.005 0.253
0.328 0.328 0.420
0.335 0.335 0.907
0.665 0.665 0.093
0.672 0.672 0.580
0.995 0.995 0.747
```

# 3
SmU3Tl2O12: theoretical powder diffraction line list (Cu Kα (weighted mean of Kα1 and Kα2)), based on a structure optimized by DFT (PBE).
Neutral-atom scattering factors, no anomalous dispersion.

Peak list (12 most intense, 5° ≤ 2θ ≤ 70°, by angle)
2θ (°)	Rel. int.
13.3	29
15.5	35
25.6	45
25.8	100
26.8	26
27.4	33
31.2	22
34.2	26
40.7	33
44.4	35
52.9	32
61.8	18

Structural model:
```
SmU3Tl2O12
1.0
4.082 2.357 6.518
-4.082 2.357 6.518
0.000 -4.713 6.518
Sm U Tl O
1 3 2 12
Direct
0.000 0.000 0.000
0.000 0.000 0.500
0.000 0.500 0.000
0.500 0.000 0.000
0.318 0.318 0.318
0.682 0.682 0.682
0.051 0.695 0.695
0.068 0.068 0.660
0.068 0.660 0.068
0.305 0.305 0.949
0.305 0.949 0.305
0.340 0.932 0.932
0.660 0.068 0.068
0.695 0.051 0.695
0.695 0.695 0.051
0.932 0.340 0.932
0.932 0.932 0.340
0.949 0.305 0.305
```

# 4
HoTlHgPb: theoretical powder diffraction line list (Cu Kα (weighted mean of Kα1 and Kα2)), based on a structure optimized by DFT (PBE).
Neutral-atom scattering factors, no anomalous dispersion.

Peak list (11 most intense, 5° ≤ 2θ ≤ 70°, by angle)
2θ (°)	Rel. int.
32.8	100
37.0	18
38.3	17
39.0	16
54.3	12
54.9	12
55.8	11
64.1	15
65.7	14
66.8	13
68.9	12

Structural model:
```
HoTlHgPb
1.0
4.619 0.000 0.000
0.000 4.706 0.000
0.000 0.000 4.855
Ho Tl Hg Pb
1 1 1 1
Direct
0.000 0.000 0.000
0.500 0.000 0.500
0.000 0.500 0.500
0.500 0.500 0.000
```

# 5
Ce2NiSn8: theoretical powder diffraction line list (Cu Kα (weighted mean of Kα1 and Kα2)), based on a structure optimized by DFT (PBE).
Neutral-atom scattering factors, no anomalous dispersion.

Peak list (12 most intense, 5° ≤ 2θ ≤ 70°, by angle)
2θ (°)	Rel. int.
27.8	8
30.5	38
34.6	100
35.9	21
38.4	54
53.6	27
55.4	19
59.3	6
64.6	9
66.0	18
67.0	30
67.8	14

Structural model:
```
Ce2NiSn8
1.0
4.687 0.000 0.000
0.000 4.687 0.000
0.000 0.000 12.515
Ce Ni Sn
2 1 8
Direct
0.000 0.000 0.188
0.000 0.000 0.812
0.000 0.000 0.500
0.000 0.500 0.000
0.000 0.500 0.380
0.000 0.500 0.620
0.500 0.000 0.000
0.500 0.000 0.380
0.500 0.000 0.620
0.500 0.500 0.189
0.500 0.500 0.811
```

# 6
Ni3PdS6: theoretical powder diffraction line list (Cu Kα (weighted mean of Kα1 and Kα2)), based on a structure optimized by DFT (PBE).
Neutral-atom scattering factors, no anomalous dispersion.

Peak list (12 most intense, 5° ≤ 2θ ≤ 70°, by angle)
2θ (°)	Rel. int.
13.3	16
26.7	98
30.2	90
33.4	17
33.7	12
36.8	20
43.7	23
46.9	100
52.6	21
53.5	20
54.1	33
60.0	19

Structural model:
```
Ni3PdS6
1.0
4.140 -5.647 0.000
4.140 5.647 0.000
0.000 0.000 3.477
Ni Pd S
3 1 6
Direct
0.000 0.000 0.000
0.000 0.500 0.500
0.500 0.000 0.500
0.500 0.500 0.000
0.066 0.322 0.000
0.322 0.066 0.000
0.348 0.652 0.500
0.652 0.348 0.500
0.678 0.934 0.000
0.934 0.678 0.000
```